Diffraction record for Ac4S5. The powder diffractogram is calculated, not measured: it uses a DFT-relaxed cell (GGA-PBE, Alexandria) and a wavelength of 1.5418 Å.
No peak broadening, texture or thermal motion is included.

Crystal structure
abc: 3.8805 9.2464 14.4637
angles: 90.00 90.00 90.00
Space group Immm (No. 71)
Symmetry-distinct sites (fractional):
Ac1 0.0000 0.2153 0.1270 (multiplicity 8)
S1 0.0000 0.1553 0.5000 (multiplicity 4)
S2 0.0000 0.5000 0.2524 (multiplicity 4)
S3 0.0000 0.5000 0.5000 (multiplicity 2)

Main lines, in order of rising 2θ (10° ≤ 2θ ≤ 80°):
19.20°, I = 100
23.74°, I = 61
24.62°, I = 54
29.56°, I = 87
30.71°, I = 81
31.41°, I = 90
35.48°, I = 58
37.26°, I = 37
38.83°, I = 32
43.66°, I = 26
57.47°, I = 33
61.15°, I = 27